The following is a calculated XRD peak list of Ni8P3. It was derived from a structure optimized by DFT (PBE), using λ = 1.5418 Å (Cu Kα).
Neutral-atom scattering factors, no anomalous dispersion.

Most intense lines, 10° ≤ 2θ ≤ 80°, by angle:
two_theta, Rel. int.
42.07, 25
45.31, 100
46.33, 29
47.95, 66
51.59, 15
54.51, 16

Cell and atoms:
```
44
Lattice="3.286 1.897 12.622 -3.286 1.897 12.622 0.000 -3.794 12.622" Properties=species:S:1:pos:R:3 pbc="T T T"
Ni 0.000 0.000 0.000
Ni 0.000 0.000 2.362
Ni -1.163 -2.096 16.326
Ni -1.754 -1.902 21.251
Ni -2.054 -0.163 17.595
Ni -1.532 -0.005 14.940
Ni -0.768 -2.466 18.983
Ni 0.000 0.000 8.439
Ni -1.232 -2.060 23.906
Ni -2.052 0.158 22.637
Ni 0.000 0.000 12.862
Ni 0.770 -1.324 14.940
Ni -1.751 1.898 18.983
Ni -1.234 2.055 16.326
Ni -1.535 0.001 25.293
Ni 1.168 -1.698 17.595
Ni 0.000 0.000 18.932
Ni 0.000 0.000 21.294
Ni 0.889 -1.856 22.637
Ni 0.762 1.329 14.940
Ni -1.168 2.097 23.906
Ni -0.770 2.470 21.251
Ni 0.766 -1.330 25.293
Ni 0.000 0.000 27.371
Ni 0.886 1.860 17.595
Ni 2.397 0.041 16.326
Ni 0.000 0.000 31.795
Ni 2.524 -0.568 21.251
Ni 0.768 1.328 25.293
Ni 1.163 1.698 22.636
Ni 2.520 0.567 18.983
Ni 2.400 -0.037 23.906
P -1.042 -1.981 13.800
P 0.000 0.000 4.636
P -2.091 -0.004 20.111
P 0.000 0.000 10.646
P -1.195 1.893 13.800
P 0.000 0.000 16.668
P 1.049 -1.809 20.111
P 0.000 0.000 23.569
P 2.237 0.088 13.800
P 0.000 0.000 29.579
P 1.042 1.813 20.111
P 0.000 0.000 35.600
```